# 1
Diffraction record for TlHgMoO4. The X-ray powder pattern is theoretical, not measured: it uses a GGA+U-relaxed structure and Cu Kα, 1.54184 Å.
Intensities are scaled so that the largest is 100.

Crystal structure
a b c (Å): 6.6777 6.6777 7.6192
angles (deg): 112.76 112.76 70.36
Element x y z (fractional)
Tl 0.2156 0.2156 0.1190
Tl 0.7844 0.7844 0.8810
Hg 0.0491 0.0491 0.7001
Hg 0.9509 0.9509 0.2999
Mo 0.3672 0.3672 0.7017
Mo 0.6328 0.6328 0.2983
O 0.1484 0.5191 0.8139
O 0.2422 0.2422 0.4371
O 0.4578 0.4578 0.2641
O 0.4809 0.8516 0.1861
O 0.5191 0.1484 0.8139
O 0.5422 0.5422 0.7359
O 0.7578 0.7578 0.5629
O 0.8516 0.4809 0.1861

Main lines, sorted by position (2θ from 5° to 70°):
| d (Å) | Rel. int. |
| --- | --- |
| 6.008 | 39 |
| 3.847 | 94 |
| 3.387 | 16 |
| 3.356 | 17 |
| 3.289 | 100 |
| 2.618 | 29 |
| 2.334 | 21 |
| 2.120 | 21 |
| 2.096 | 31 |
| 1.886 | 17 |

***

# 2
Diffraction record for VHgMoO6. The X-ray powder pattern is theoretical, not measured: it uses a GGA+U-relaxed structure and Cu Kα, 1.54184 Å.
Intensities are scaled so that the largest is 100.

Crystal structure
a b c (Å): 5.1529 5.2228 5.3421
angles (deg): 84.19 78.23 62.64
Element x y z (fractional)
V 0.0000 0.0000 0.0000
Hg 0.3398 0.3448 0.4552
Mo 0.6656 0.6878 0.9227
O 0.0124 0.3507 0.7563
O 0.2871 0.9840 0.1516
O 0.3679 0.7289 0.7578
O 0.6796 0.3396 0.1600
O 0.7962 0.9624 0.7516
O 0.9010 0.7493 0.1792

Main lines, sorted by position (2θ from 5° to 70°):
| d (Å) | Rel. int. |
| --- | --- |
| 3.760 | 72 |
| 3.692 | 100 |
| 3.485 | 59 |
| 3.455 | 91 |
| 3.146 | 62 |
| 3.085 | 41 |
| 2.683 | 51 |
| 2.591 | 44 |
| 2.520 | 28 |
| 2.034 | 36 |

***

# 3
Diffraction record for HgMoWO6. The X-ray powder pattern is theoretical, not measured: it uses a GGA+U-relaxed structure and Cu Kα, 1.54184 Å.
Intensities are scaled so that the largest is 100.

Crystal structure
a b c (Å): 7.3860 7.3860 7.3860
angles (deg): 120.08 119.93 89.99
Element x y z (fractional)
Hg 0.3693 0.1193 0.2500
Hg 0.6307 0.8807 0.7500
Mo 0.0000 0.0000 0.5000
Mo 0.0000 0.5000 0.0000
W 0.0000 0.5000 0.5000
W 0.5000 0.5000 0.0000
O 0.0563 0.8063 0.2500
O 0.0570 0.4433 0.2499
O 0.0570 0.8071 0.6137
O 0.3065 0.1929 0.7499
O 0.3065 0.5567 0.1137
O 0.3073 0.5572 0.7500
O 0.6928 0.4428 0.2500
O 0.6935 0.4433 0.8863
O 0.6935 0.8071 0.2501
O 0.9430 0.1929 0.3863
O 0.9430 0.5567 0.7501
O 0.9437 0.1937 0.7500

Main lines, sorted by position (2θ from 5° to 70°):
| d (Å) | Rel. int. |
| --- | --- |
| 3.692 | 34 |
| 3.150 | 100 |
| 3.015 | 28 |
| 2.132 | 11 |
| 2.010 | 35 |
| 1.847 | 28 |
| 1.652 | 11 |
| 1.593 | 11 |
| 1.575 | 12 |
| 1.360 | 15 |